Rb2MgTlF5: calculated X-ray powder pattern (copper Kα), based on the GGA-PBE geometry in Alexandria.

The 12 most intense peaks (10° ≤ 2θ ≤ 80°), most intense first:
2theta  d [Å]  intensity
29.45  3.033  100
24.92  3.573  38
36.49  2.462  34
39.71  2.270  31
41.28  2.187  25
28.05  3.181  25
50.51  1.807  22
22.86  3.890  19
27.54  3.239  18
15.52  5.711  18
61.10  1.517  17
44.43  2.039  15

Crystal structure
a b c (Å): 7.4994 7.4994 7.4994
angles (deg): 148.45 129.80 60.51
Atoms (fractional coordinates):
Rb  0.2179  0.2179  0.0000
Rb  0.7821  0.7821  0.0000
Mg  0.0000  0.5000  0.5000
Tl  0.5000  0.0000  0.5000
F  0.0000  0.0000  0.0000
F  0.1119  0.3869  0.7250
F  0.3381  0.6131  0.7250
F  0.6619  0.3869  0.2750
F  0.8881  0.6131  0.2750